Entry 1:
Simulated powder diffraction line list of PrDy4HoS8 for CuKα, from a cell relaxed with PBE.
Lines closer than 0.1° are merged.

Most intense lines, 10° ≤ 2θ ≤ 90°, low angle first:
(hkl)	2theta	d (Å)	I (rel.)
1 1 0	21.95	4.050	25
0 1 5	25.80	3.454	100
0 2 4	31.24	2.864	20
1 2 5	40.94	2.204	44
2 0 8	44.76	2.025	58
1 0 13	62.26	1.491	24

Structure:
a b c (Å): 8.1032 8.1032 19.8209
angles (deg): 90.00 90.00 120.00
Space group R3m (No. 160, hexagonal axes)
Unique sites:
Pr (0.0000, 0.0000, 0.0000) [3 per cell]
Dy (0.0000, 0.0000, 0.7504) [3 per cell]
Dy (0.1678, 0.3356, 0.2082) [9 per cell]
Ho (0.0000, 0.0000, 0.3758) [3 per cell]
S (0.0000, 0.0000, 0.1368) [3 per cell]
S (0.0000, 0.0000, 0.6183) [3 per cell]
S (0.0197, 0.5099, 0.1270) [9 per cell]
S (0.1828, 0.3656, 0.9549) [9 per cell]

***

Entry 2:
Simulated powder diffraction line list of PrDy2HoSb4 for CuKα, from a cell relaxed with PBE.
Lines closer than 0.1° are merged.

Most intense lines, 10° ≤ 2θ ≤ 90°, low angle first:
(hkl)	2theta	d (Å)	I (rel.)
2 0 0	28.52	3.129	100
2 2 0	40.78	2.213	76
2 2 4	50.52	1.807	27
4 0 0	59.04	1.565	13
4 2 0	66.86	1.399	35
4 2 4	74.24	1.277	26

Structure:
a b c (Å): 6.2590 6.2590 12.5144
angles (deg): 90.00 90.00 90.00
Space group I4/mmm (No. 139)
Unique sites:
Pr (0.0000, 0.0000, 0.0000) [2 per cell]
Dy (0.0000, 0.5000, 0.2500) [4 per cell]
Ho (0.0000, 0.0000, 0.5000) [2 per cell]
Sb (0.0000, 0.0000, 0.2545) [4 per cell]
Sb (0.0000, 0.5000, 0.0000) [4 per cell]

***

Entry 3:
Simulated powder diffraction line list of PrSm2DyHo for CuKα, from a cell relaxed with PBE.
Lines closer than 0.1° are merged.

Most intense lines, 10° ≤ 2θ ≤ 90°, low angle first:
(hkl)	2theta	d (Å)	I (rel.)
2 1 -1	28.34	3.149	89
0 0 2	28.73	3.108	65
1 2 0	29.09	3.070	91
2 1 1	29.76	3.002	100
1 2 -1	32.21	2.779	58
1 1 2	34.24	2.619	48

Structure:
a b c (Å): 8.3916 6.5993 6.2289
angles (deg): 90.00 93.77 90.00
Space group P2/c (No. 13)
Unique sites:
Pr (0.0000, 0.0000, 0.0000) [2 per cell]
Sm (0.3094, 0.3104, 0.2293) [4 per cell]
Dy (0.0000, 0.4315, 0.7500) [2 per cell]
Ho (0.5000, 0.1624, 0.7500) [2 per cell]

***

Entry 4:
Simulated powder diffraction line list of PrSmDy5Ho2 for CuKα, from a cell relaxed with PBE.
Lines closer than 0.1° are merged.

Most intense lines, 10° ≤ 2θ ≤ 90°, low angle first:
(hkl)	2theta	d (Å)	I (rel.)
2 2 0	28.08	3.177	44
2 1 3	28.77	3.103	46
2 0 4	31.51	2.840	100
3 2 1	36.57	2.457	20
2 1 5	38.00	2.368	16
2 2 8	58.10	1.588	25

Structure:
a b c (Å): 8.9871 8.9871 14.6518
angles (deg): 90.00 90.00 90.00
Space group I4/mcm (No. 140)
Unique sites:
Pr (0.0000, 0.0000, 0.2500) [4 per cell]
Sm (0.0000, 0.5000, 0.2500) [4 per cell]
Dy (0.0000, 0.0000, 0.0000) [4 per cell]
Dy (0.2033, 0.2967, 0.1306) [16 per cell]
Ho (0.1124, 0.3876, 0.5000) [8 per cell]

***

Entry 5:
Simulated powder diffraction line list of Pr2SmDyHo2 for CuKα, from a cell relaxed with PBE.
Lines closer than 0.1° are merged.

Most intense lines, 10° ≤ 2θ ≤ 90°, low angle first:
(hkl)	2theta	d (Å)	I (rel.)
2 1 1	31.19	2.868	88
0 2 0	31.33	2.855	100
2 0 4	44.79	2.023	32
0 0 6	55.68	1.651	41
4 2 0	61.93	1.498	29
2 1 7	74.20	1.278	15

Structure:
a b c (Å): 7.0408 5.7062 9.8979
angles (deg): 90.00 90.00 90.00
Space group Pmma (No. 51)
Unique sites:
Pr (0.0000, 0.0000, 0.0000) [2 per cell]
Pr (0.2500, 0.5000, 0.1714) [2 per cell]
Sm (0.0000, 0.5000, 0.5000) [2 per cell]
Dy (0.2500, 0.0000, 0.6631) [2 per cell]
Ho (0.2500, 0.0000, 0.3336) [2 per cell]
Ho (0.2500, 0.5000, 0.8342) [2 per cell]

***

Entry 6:
Simulated powder diffraction line list of Pr2SmDy4Ho for CuKα, from a cell relaxed with PBE.
Lines closer than 0.1° are merged.

Most intense lines, 10° ≤ 2θ ≤ 90°, low angle first:
(hkl)	2theta	d (Å)	I (rel.)
1 1 2	30.47	2.933	100
0 2 0	35.16	2.552	17
2 0 0	35.33	2.540	17
0 0 4	35.51	2.528	17
1 3 2	60.20	1.537	15
3 1 2	60.43	1.532	14

Structure:
a b c (Å): 5.0810 5.1050 10.1132
angles (deg): 90.00 90.00 90.00
Space group Pmmm (No. 47)
Unique sites:
Pr (0.0000, 0.0000, 0.0000) [1 per cell]
Pr (0.5000, 0.5000, 0.5000) [1 per cell]
Sm (0.0000, 0.0000, 0.5000) [1 per cell]
Dy (0.0000, 0.5000, 0.2482) [2 per cell]
Dy (0.5000, 0.0000, 0.2488) [2 per cell]
Ho (0.5000, 0.5000, 0.0000) [1 per cell]

***

Entry 7:
Simulated powder diffraction line list of Tb6PrDyHo2 for CuKα, from a cell relaxed with PBE.
Lines closer than 0.1° are merged.

Most intense lines, 10° ≤ 2θ ≤ 90°, low angle first:
(hkl)	2theta	d (Å)	I (rel.)
1 3 2	28.61	3.121	39
0 2 3	30.46	2.935	43
3 1 -1	30.55	2.927	58
1 5 0	31.39	2.850	43
2 2 2	31.57	2.834	100
1 3 -3	33.60	2.667	44

Structure:
a b c (Å): 9.0812 15.0262 9.6641
angles (deg): 90.00 98.29 90.00
Space group C2/c (No. 15)
Unique sites:
Tb (0.0650, 0.1838, 0.4440) [8 per cell]
Tb (0.1018, 0.3948, 0.6216) [8 per cell]
Tb (0.2003, 0.2264, 0.8182) [8 per cell]
Pr (0.0000, 0.4053, 0.2500) [4 per cell]
Dy (0.0000, 0.0243, 0.7500) [4 per cell]
Ho (0.2433, 0.0511, 0.0439) [8 per cell]

***

Entry 8:
Simulated powder diffraction line list of Tb2PrDyHo for CuKα, from a cell relaxed with PBE.
Lines closer than 0.1° are merged.

Most intense lines, 10° ≤ 2θ ≤ 90°, low angle first:
(hkl)	2theta	d (Å)	I (rel.)
2 2 0	26.20	3.402	48
0 2 2	29.22	3.056	55
0 4 0	31.00	2.885	63
2 0 2	32.71	2.738	100
1 3 2	35.77	2.510	54
2 4 2	45.68	1.986	68

Structure:
a b c (Å): 8.4230 11.5407 7.2065
angles (deg): 90.00 90.00 90.00
Space group Cmcm (No. 63)
Unique sites:
Tb (0.1903, 0.0000, 0.0000) [8 per cell]
Pr (0.0000, 0.2277, 0.2500) [4 per cell]
Dy (0.0000, 0.4967, 0.2500) [4 per cell]
Ho (0.0000, 0.2252, 0.7500) [4 per cell]

***

Entry 9:
Simulated powder diffraction line list of TbPr4Dy2Ho2 for CuKα, from a cell relaxed with PBE.
Lines closer than 0.1° are merged.

Most intense lines, 10° ≤ 2θ ≤ 90°, low angle first:
(hkl)	2theta	d (Å)	I (rel.)
3 1 1	30.27	2.953	100
0 2 0	35.06	2.559	34
0 0 3	35.14	2.554	17
6 0 2	50.47	1.808	36
9 1 0	59.90	1.544	14
3 3 1	60.03	1.541	29

Structure:
a b c (Å): 15.3705 5.1129 8.0762
angles (deg): 90.00 108.42 90.00
Space group C2/m (No. 12)
Unique sites:
Tb (0.0000, 0.0000, 0.0000) [2 per cell]
Pr (0.0537, 0.5000, 0.3305) [4 per cell]
Pr (0.2228, 0.0000, 0.3312) [4 per cell]
Dy (0.1114, 0.0000, 0.6700) [4 per cell]
Ho (0.1676, 0.5000, 0.9996) [4 per cell]

***

Entry 10:
Simulated powder diffraction line list of Pr3DyHo2Te6 for CuKα, from a cell relaxed with PBE.
Lines closer than 0.1° are merged.

Most intense lines, 10° ≤ 2θ ≤ 90°, low angle first:
(hkl)	2theta	d (Å)	I (rel.)
6 0 0	28.46	3.136	100
2 0 -4	40.05	2.251	13
7 1 -2	40.19	2.244	26
5 1 2	41.18	2.192	25
6 2 0	50.91	1.794	14
12 0 0	58.89	1.568	13

Structure:
a b c (Å): 19.4952 4.3743 9.0096
angles (deg): 90.00 105.26 90.00
Space group C2/m (No. 12)
Unique sites:
Pr (0.0000, 0.0000, 0.0000) [2 per cell]
Pr (0.1659, 0.5000, 0.3324) [4 per cell]
Dy (0.0000, 0.0000, 0.5000) [2 per cell]
Ho (0.1663, 0.5000, 0.8322) [4 per cell]
Te (0.0039, 0.5000, 0.7419) [4 per cell]
Te (0.1637, 0.0000, 0.5923) [4 per cell]
Te (0.1705, 0.0000, 0.0735) [4 per cell]

***

Entry 11:
Simulated powder diffraction line list of Pr2DyHoTe5 for CuKα, from a cell relaxed with PBE.
Lines closer than 0.1° are merged.

Most intense lines, 10° ≤ 2θ ≤ 90°, low angle first:
(hkl)	2theta	d (Å)	I (rel.)
1 1 0	22.76	3.907	87
1 0 3	28.23	3.161	35
2 0 0	32.41	2.762	100
1 1 3	32.64	2.744	52
1 0 4	35.03	2.561	37
2 2 0	46.49	1.953	37

Structure:
a b c (Å): 5.5248 5.5248 11.5628
angles (deg): 90.00 90.00 90.00
Space group P4/mmm (No. 123)
Unique sites:
Pr (0.0000, 0.0000, 0.1666) [2 per cell]
Dy (0.5000, 0.5000, 0.5000) [1 per cell]
Ho (0.5000, 0.5000, 0.0000) [1 per cell]
Te (0.0000, 0.0000, 0.5000) [1 per cell]
Te (0.0000, 0.5000, 0.0000) [2 per cell]
Te (0.5000, 0.5000, 0.2544) [2 per cell]

***

Entry 12:
Simulated powder diffraction line list of PrDy2Ho4Th for CuKα, from a cell relaxed with PBE.
Lines closer than 0.1° are merged.

Most intense lines, 10° ≤ 2θ ≤ 90°, low angle first:
(hkl)	2theta	d (Å)	I (rel.)
1 1 2	30.75	2.908	100
0 2 0	35.43	2.533	17
2 0 0	35.55	2.526	17
0 0 4	35.97	2.497	16
2 0 4	51.42	1.777	24
1 3 2	60.72	1.525	15

Structure:
a b c (Å): 5.0511 5.0669 9.9875
angles (deg): 90.00 90.00 90.00
Space group Pmmm (No. 47)
Unique sites:
Pr (0.0000, 0.0000, 0.0000) [1 per cell]
Dy (0.0000, 0.0000, 0.5000) [1 per cell]
Dy (0.5000, 0.5000, 0.0000) [1 per cell]
Ho (0.0000, 0.5000, 0.2544) [2 per cell]
Ho (0.5000, 0.0000, 0.2549) [2 per cell]
Th (0.5000, 0.5000, 0.5000) [1 per cell]

***

Entry 13:
Simulated powder diffraction line list of PrDyHo2Th for CuKα, from a cell relaxed with PBE.
Lines closer than 0.1° are merged.

Most intense lines, 10° ≤ 2θ ≤ 90°, low angle first:
(hkl)	2theta	d (Å)	I (rel.)
1 1 1	31.55	2.836	100
0 2 0	31.65	2.827	40
1 0 2	32.63	2.744	20
0 1 3	34.78	2.579	27
1 1 2	36.39	2.469	26
1 1 5	61.65	1.504	20

Structure:
a b c (Å): 3.5387 5.6532 8.6953
angles (deg): 90.00 90.00 90.00
Space group Pmmm (No. 47)
Unique sites:
Pr (0.0000, 0.0000, 0.0000) [1 per cell]
Dy (0.5000, 0.0000, 0.5000) [1 per cell]
Ho (0.0000, 0.5000, 0.3217) [2 per cell]
Th (0.5000, 0.5000, 0.0000) [1 per cell]